(1)
This entry pairs a crystal structure of Tm2Mn12InSn11 with its computed powder diffractogram. Radiation: Cu Kα X-rays. Structure: a structure optimized by DFT (PBE).

Structure:
Cell lengths 5.447, 5.447, 18.052 Å; angles 90.00, 90.00, 120.00 degrees
Atoms (fractional coordinates):
Tm 0.000 0.000 0.250
Tm 0.000 0.000 0.750
Mn 0.000 0.500 0.127
Mn 0.000 0.500 0.873
Mn 0.001 0.500 0.373
Mn 0.001 0.500 0.627
Mn 0.500 0.000 0.127
Mn 0.500 0.000 0.873
Mn 0.500 0.500 0.127
Mn 0.500 0.500 0.373
Mn 0.500 0.500 0.627
Mn 0.500 0.500 0.873
Mn 0.500 0.999 0.373
Mn 0.500 0.999 0.627
In 0.667 0.333 0.500
Sn 0.000 0.000 0.083
Sn 0.000 0.000 0.417
Sn 0.000 0.000 0.583
Sn 0.000 0.000 0.917
Sn 0.333 0.667 0.000
Sn 0.333 0.667 0.250
Sn 0.333 0.667 0.500
Sn 0.333 0.667 0.750
Sn 0.667 0.333 0.000
Sn 0.667 0.333 0.250
Sn 0.667 0.333 0.750

Top 10 peaks for 5° ≤ 2θ ≤ 70°, by angle:
2theta	d [Å]	Rel. int.
32.9	2.723	100.0
35.4	2.537	47.0
38.2	2.359	27.8
38.6	2.332	87.5
40.0	2.256	23.9
43.3	2.090	42.8
44.9	2.019	24.9
60.3	1.534	20.5
62.6	1.485	21.2
69.0	1.362	28.9

---

(2)
This entry pairs a crystal structure of MgSn2P2O10 with its computed powder diffractogram. Radiation: Cu Kα X-rays. Structure: a structure optimized by DFT (PBE).

Structure:
Cell lengths 9.177, 6.907, 10.187 Å; angles 61.45, 41.38, 77.17 degrees
Atoms (fractional coordinates):
Mg 0.000 0.000 0.000
Mg 0.250 0.250 0.250
Sn 0.140 0.628 0.615
Sn 0.628 0.140 0.617
Sn 0.633 0.635 0.622
Sn 0.635 0.633 0.110
P 0.053 0.465 0.036
P 0.214 0.804 0.197
P 0.465 0.053 0.446
P 0.804 0.214 0.785
O 0.010 0.324 0.695
O 0.074 0.378 0.906
O 0.199 0.891 0.323
O 0.259 0.932 0.542
O 0.280 0.555 0.926
O 0.324 0.010 0.970
O 0.344 0.608 0.176
O 0.378 0.074 0.642
O 0.440 0.581 0.410
O 0.555 0.280 0.240
O 0.581 0.440 0.569
O 0.608 0.344 0.872
O 0.663 0.927 0.359
O 0.681 0.840 0.669
O 0.708 0.983 0.991
O 0.840 0.681 0.810
O 0.891 0.199 0.587
O 0.927 0.663 0.051
O 0.932 0.259 0.267
O 0.983 0.708 0.318

Top 10 peaks for 5° ≤ 2θ ≤ 70°, by angle:
2theta	d [Å]	Rel. int.
15.0	5.897	49.9
21.2	4.183	43.9
26.5	3.367	31.7
30.3	2.953	100.0
30.5	2.927	34.6
43.3	2.090	33.6
44.0	2.060	10.6
51.3	1.779	12.3
53.5	1.712	15.1
54.5	1.683	14.4

---

(3)
This entry pairs a crystal structure of Te4MoW3Se2S2 with its computed powder diffractogram. Radiation: Cu Kα X-rays. Structure: a structure optimized by DFT (PBE).

Structure:
Cell lengths 3.397, 3.397, 40.599 Å; angles 90.00, 90.00, 120.00 degrees
Atoms (fractional coordinates):
Te 0.000 0.000 0.000
Te 0.000 0.000 0.092
Te 0.333 0.667 0.190
Te 0.333 0.667 0.283
Mo 0.333 0.667 0.046
W 0.000 0.000 0.236
W 0.000 0.000 0.859
W 0.333 0.667 0.424
Se 0.000 0.000 0.383
Se 0.000 0.000 0.465
S 0.333 0.667 0.822
S 0.333 0.667 0.897

Top 10 peaks for 5° ≤ 2θ ≤ 70°, by angle:
2theta	d [Å]	Rel. int.
6.5	13.533	17.8
10.9	8.120	100.0
13.1	6.766	13.0
30.4	2.939	40.4
32.4	2.766	13.4
35.3	2.545	65.4
42.2	2.141	48.4
43.8	2.065	14.9
54.0	1.698	26.5
66.2	1.412	13.1

---

(4)
This entry pairs a crystal structure of Na5Er4Si4O16F with its computed powder diffractogram. Radiation: Cu Kα X-rays. Structure: a structure optimized by DFT (PBE).

Structure:
Cell lengths 8.637, 8.637, 8.637 Å; angles 95.65, 95.65, 143.44 degrees
Atoms (fractional coordinates):
Na 0.000 0.000 0.000
Na 0.098 0.403 0.515
Na 0.418 0.902 0.305
Na 0.597 0.112 0.695
Na 0.888 0.582 0.485
Er 0.294 0.592 0.933
Er 0.408 0.341 0.702
Er 0.639 0.706 0.298
Er 0.659 0.361 0.067
Si 0.115 0.764 0.857
Si 0.236 0.093 0.350
Si 0.743 0.885 0.650
Si 0.907 0.257 0.143
O 0.051 0.188 0.764
O 0.097 0.600 0.722
O 0.136 0.170 0.440
O 0.225 0.462 0.171
O 0.291 0.053 0.829
O 0.304 0.864 0.034
O 0.400 0.123 0.498
O 0.424 0.286 0.236
O 0.538 0.709 0.763
O 0.625 0.903 0.502
O 0.714 0.949 0.138
O 0.730 0.696 0.560
O 0.812 0.576 0.862
O 0.830 0.270 0.966
O 0.877 0.375 0.278
O 0.947 0.775 0.237
F 0.500 0.500 0.000

Top 10 peaks for 5° ≤ 2θ ≤ 70°, by angle:
2theta	d [Å]	Rel. int.
10.8	8.201	58.0
18.1	4.909	100.0
23.7	3.747	46.3
24.3	3.668	51.0
28.4	3.147	63.5
32.4	2.766	69.0
33.1	2.709	43.4
36.0	2.497	57.4
42.4	2.132	38.3
48.6	1.873	42.0